Simulated PXRD pattern of PmPbWO6 for Cu Kα, from a GGA+U-relaxed structure.
No peak broadening, texture or thermal motion is included.

Largest 10 diffraction maxima, in order of falling intensity, 2θ = 10–80°:
d = 3.141 Å, I 100
d = 1.805 Å, I 74
d = 3.609 Å, I 59
d = 3.089 Å, I 53
d = 2.932 Å, I 46
d = 3.043 Å, I 35
d = 3.060 Å, I 33
d = 2.992 Å, I 33
d = 1.980 Å, I 21
d = 2.003 Å, I 21

Structural model:
```
PmPbWO6
1.0
-3.606 3.720 5.035
3.606 -3.720 5.035
3.606 3.720 -5.035
Pm Pb W O
2 2 2 12
Direct
0.500 0.000 0.000
0.500 0.500 0.500
0.132 0.382 0.750
0.868 0.618 0.250
0.000 0.000 0.000
0.500 0.000 0.500
0.080 0.318 0.146
0.080 0.934 0.762
0.326 0.076 0.250
0.327 0.066 0.646
0.327 0.682 0.262
0.359 0.609 0.750
0.641 0.391 0.250
0.673 0.318 0.738
0.673 0.934 0.354
0.674 0.924 0.750
0.920 0.066 0.238
0.920 0.682 0.854
```